Simulated powder diffractogram
Compound: NdHoCo2
Radiation: Cu Ka
Structure: a DFT-relaxed cell (PBE, Alexandria)

Structural model:
```
NdHoCo2
1.0
3.884 0.000 0.000
0.000 5.663 0.000
0.000 0.000 7.604
Nd Ho Co
2 2 4
Direct
0.000 0.131 0.000 Nd
0.000 0.869 0.500 Nd
0.500 0.371 0.643 Ho
0.500 0.629 0.143 Ho
0.000 0.362 0.354 Co
0.000 0.638 0.854 Co
0.500 0.169 0.299 Co
0.500 0.831 0.799 Co
```

Most intense lines, 10° ≤ 2θ ≤ 90°, by angle:
2theta, I_rel
27.85, 35
30.28, 100
32.97, 94
33.78, 96
36.69, 68
38.93, 70
41.20, 77
46.78, 41
58.93, 39
62.44, 34


Simulated powder diffractogram
Compound: Ho7Pt2Rh2
Radiation: Cu Ka
Structure: a DFT-relaxed cell (PBE, Alexandria)

Structural model:
```
Ho7Pt2Rh2
1.0
-1.944 7.478 4.620
1.944 -7.478 4.620
1.944 7.478 -4.620
Ho Pt Rh
7 2 2
Direct
0.000 0.000 0.000 Ho
0.081 0.392 0.689 Ho
0.132 0.762 0.370 Ho
0.392 0.762 0.630 Ho
0.488 0.603 0.886 Ho
0.704 0.392 0.311 Ho
0.717 0.603 0.114 Ho
0.346 0.346 0.000 Pt
0.776 0.276 0.500 Pt
0.335 0.095 0.240 Rh
0.855 0.095 0.760 Rh
```

Most intense lines, 10° ≤ 2θ ≤ 90°, by angle:
2theta, I_rel
30.64, 46
31.44, 25
34.22, 37
34.67, 100
35.13, 37
37.25, 18
39.21, 33
46.73, 29
52.80, 31
64.02, 20


Simulated powder diffractogram
Compound: Y5ThBi6
Radiation: Cu Ka
Structure: a DFT-relaxed cell (PBE, Alexandria)

Structural model:
```
Y5ThBi6
1.0
3.901 -6.753 0.000
3.901 6.753 0.000
-2.604 0.000 7.357
Y Th Bi
5 1 6
Direct
0.000 0.000 0.000 Y
0.167 0.833 0.500 Y
0.335 0.665 0.000 Y
0.665 0.335 0.000 Y
0.833 0.167 0.500 Y
0.500 0.500 0.500 Th
0.078 0.415 0.246 Bi
0.246 0.246 0.751 Bi
0.415 0.078 0.246 Bi
0.585 0.922 0.754 Bi
0.754 0.754 0.249 Bi
0.922 0.585 0.754 Bi
```

Most intense lines, 10° ≤ 2θ ≤ 90°, by angle:
2theta, I_rel
24.20, 16
28.02, 100
40.04, 78
47.34, 9
49.58, 28
57.91, 13
63.69, 4
65.54, 37
72.74, 27
86.42, 9